1.
This entry pairs a crystal structure of PrHf2TiO8 with its simulated powder X-ray diffraction pattern. Radiation: a wavelength of 1.5418 Å. Structure: the GGA-PBE geometry in Alexandria.

Structure:
Lattice parameters (Å, degrees): 4.933 6.638 4.933 90.00 92.23 90.00
Element x y z (fractional)
Pr 0.000 0.000 0.000
Hf 0.500 0.255 0.500
Hf 0.500 0.745 0.500
Ti 0.000 0.500 0.000
O 0.201 0.292 0.200
O 0.201 0.708 0.200
O 0.297 0.500 0.702
O 0.326 0.000 0.672
O 0.674 0.000 0.328
O 0.703 0.500 0.298
O 0.799 0.292 0.800
O 0.799 0.708 0.800

Principal peaks in the range 2θ = 5–70°, in order of rising 2θ:
2theta, I/Imax
18.00, 23.0
25.05, 62.8
26.06, 55.2
32.52, 100.0
36.46, 29.0
49.07, 43.2
50.22, 37.4
63.14, 23.2

***

2.
This entry pairs a crystal structure of Ag6Cl5F2 with its simulated powder X-ray diffraction pattern. Radiation: a wavelength of 1.5418 Å. Structure: the GGA-PBE geometry in Alexandria.

Structure:
Lattice parameters (Å, degrees): 9.915 17.451 3.871 90.00 90.00 90.00
Element x y z (fractional)
Ag 0.018 0.103 0.000
Ag 0.086 0.360 0.000
Ag 0.155 0.739 0.500
Ag 0.345 0.239 0.500
Ag 0.414 0.860 0.000
Ag 0.482 0.603 0.000
Ag 0.518 0.397 0.000
Ag 0.586 0.140 0.000
Ag 0.655 0.761 0.500
Ag 0.845 0.261 0.500
Ag 0.914 0.640 0.000
Ag 0.982 0.897 0.000
Cl 0.000 0.000 0.500
Cl 0.061 0.601 0.500
Cl 0.091 0.199 0.500
Cl 0.409 0.699 0.500
Cl 0.439 0.101 0.500
Cl 0.500 0.500 0.500
Cl 0.561 0.899 0.500
Cl 0.591 0.301 0.500
Cl 0.909 0.801 0.500
Cl 0.939 0.399 0.500
F 0.197 0.821 0.000
F 0.303 0.321 0.000
F 0.697 0.679 0.000
F 0.803 0.179 0.000

Principal peaks in the range 2θ = 5–70°, in order of rising 2θ:
2theta, I/Imax
10.14, 89.9
17.89, 55.1
23.58, 36.1
27.23, 45.3
29.73, 64.3
30.88, 100.0
31.34, 35.0
46.95, 30.3

***

3.
This entry pairs a crystal structure of USn6Pd12 with its simulated powder X-ray diffraction pattern. Radiation: a wavelength of 1.5418 Å. Structure: the GGA-PBE geometry in Alexandria.

Structure:
Lattice parameters (Å, degrees): 7.578 7.578 7.578 106.19 106.19 106.19
Element x y z (fractional)
U 0.000 0.000 0.000
Sn 0.279 0.279 0.689
Sn 0.279 0.689 0.279
Sn 0.311 0.721 0.721
Sn 0.689 0.279 0.279
Sn 0.721 0.311 0.721
Sn 0.721 0.721 0.311
Pd 0.106 0.346 0.346
Pd 0.119 0.500 0.881
Pd 0.119 0.881 0.500
Pd 0.346 0.106 0.346
Pd 0.346 0.346 0.106
Pd 0.500 0.119 0.881
Pd 0.500 0.881 0.119
Pd 0.654 0.654 0.894
Pd 0.654 0.894 0.654
Pd 0.881 0.119 0.500
Pd 0.881 0.500 0.119
Pd 0.894 0.654 0.654

Principal peaks in the range 2θ = 5–70°, in order of rising 2θ:
2theta, I/Imax
24.65, 52.7
32.42, 100.0
34.18, 55.6
38.79, 70.0
40.31, 84.4
42.89, 73.4
44.98, 60.9
48.10, 69.8